1.
Simulated powder X-ray diffraction pattern
Compound: CdBiIO2
Radiation: λ = 1.5418 Å (Cu Kα)
Structure: DFT lattice parameters and positions (GGA-PBE)
Neutral-atom scattering factors, no anomalous dispersion.

Peak list (12 most intense, 5° ≤ 2θ ≤ 70°, in order of rising 2θ)
2θ = 13.40°, I 7
2θ = 23.10°, I 9
2θ = 30.08°, I 100
2θ = 31.44°, I 39
2θ = 40.99°, I 9
2θ = 41.90°, I 4
2θ = 45.05°, I 19
2θ = 52.55°, I 23
2θ = 55.13°, I 36
2θ = 62.53°, I 11
2θ = 65.62°, I 6
2θ = 67.98°, I 9

Structural model:
Cell lengths 7.1926, 7.1926, 7.1926 Å; angles 147.51, 147.51, 46.61 degrees
Sites, in units of the cell vectors:
Cd: 0.0000 0.0000 0.0000
Bi: 0.3346 0.3346 0.0000
I: 0.6525 0.6525 0.0000
O: 0.4147 0.9147 0.5000
O: 0.9147 0.4147 0.5000

=====

2.
Simulated powder X-ray diffraction pattern
Compound: CdBiSe2I
Radiation: λ = 1.5418 Å (Cu Kα)
Structure: DFT lattice parameters and positions (GGA-PBE)
Neutral-atom scattering factors, no anomalous dispersion.

Peak list (12 most intense, 5° ≤ 2θ ≤ 70°, in order of rising 2θ)
2θ = 15.11°, I 14
2θ = 21.67°, I 30
2θ = 28.02°, I 13
2θ = 28.48°, I 100
2θ = 29.61°, I 19
2θ = 29.95°, I 26
2θ = 33.72°, I 13
2θ = 41.48°, I 18
2θ = 42.14°, I 18
2θ = 42.57°, I 22
2θ = 46.47°, I 14
2θ = 52.02°, I 15

Structural model:
Cell lengths 7.2832, 7.2832, 10.3737 Å; angles 91.63, 91.63, 33.90 degrees
Sites, in units of the cell vectors:
Cd: 0.0000 0.0000 0.0000
Cd: 0.0000 0.0000 0.5000
Bi: 0.2856 0.2856 0.6845
Bi: 0.7144 0.7144 0.3155
Se: 0.0806 0.0806 0.2598
Se: 0.3570 0.3570 0.4416
Se: 0.6430 0.6430 0.5584
Se: 0.9194 0.9194 0.7402
I: 0.3616 0.3616 0.0756
I: 0.6384 0.6384 0.9244

=====

3.
Simulated powder X-ray diffraction pattern
Compound: Li2CdBi
Radiation: λ = 1.5418 Å (Cu Kα)
Structure: DFT lattice parameters and positions (GGA-PBE)
Neutral-atom scattering factors, no anomalous dispersion.

Peak list (9 most intense, 5° ≤ 2θ ≤ 70°, in order of rising 2θ)
2θ = 22.14°, I 15
2θ = 25.62°, I 100
2θ = 36.55°, I 91
2θ = 43.15°, I 9
2θ = 45.17°, I 30
2θ = 52.65°, I 16
2θ = 57.80°, I 4
2θ = 59.45°, I 39
2θ = 65.80°, I 33

Structural model:
Cell lengths 4.9169, 4.9169, 4.9169 Å; angles 60.00, 60.00, 60.00 degrees
Sites, in units of the cell vectors:
Li: 0.2500 0.2500 0.2500
Li: 0.7500 0.7500 0.7500
Cd: 0.0000 0.0000 0.0000
Bi: 0.5000 0.5000 0.5000